Entry 1:
The following is a computed X-ray diffraction stick pattern of Sc3Ga3Os2. It was derived from the PBE geometry in Alexandria, using Cu Kα (weighted mean of Kα1 and Kα2).

Most intense lines, 5° ≤ 2θ ≤ 70°, most intense first:
| d [Å] | two_theta | I_rel |
| --- | --- | --- |
| 2.352 | 38.27 | 100 |
| 2.115 | 42.75 | 78 |
| 2.267 | 39.76 | 59 |
| 4.287 | 20.72 | 59 |
| 3.740 | 23.79 | 55 |
| 2.156 | 41.91 | 41 |
| 4.133 | 21.50 | 41 |
| 3.440 | 25.90 | 40 |

Cell and atoms:
```
Sc3Ga3Os2
1.0
7.0547 0.0000 0.0000
0.0000 15.5594 0.0000
0.0000 0.0000 5.3973
Sc Ga Os
12 12 8
Direct
0.0390 0.1117 0.1113 Sc
0.0390 0.3883 0.1113 Sc
0.1712 0.2500 0.6433 Sc
0.3288 0.7500 0.1433 Sc
0.4610 0.6117 0.6113 Sc
0.4610 0.8883 0.6113 Sc
0.5390 0.1117 0.3887 Sc
0.5390 0.3883 0.3887 Sc
0.6712 0.2500 0.8567 Sc
0.8288 0.7500 0.3567 Sc
0.9610 0.6117 0.8887 Sc
0.9610 0.8883 0.8887 Sc
0.1716 0.7500 0.6395 Ga
0.1769 0.0285 0.5872 Ga
0.1769 0.4715 0.5872 Ga
0.3231 0.5285 0.0872 Ga
0.3231 0.9715 0.0872 Ga
0.3284 0.2500 0.1395 Ga
0.6716 0.7500 0.8605 Ga
0.6769 0.0285 0.9128 Ga
0.6769 0.4715 0.9128 Ga
0.8231 0.5285 0.4128 Ga
0.8231 0.9715 0.4128 Ga
0.8284 0.2500 0.3605 Ga
0.1234 0.6157 0.3704 Os
0.1234 0.8843 0.3704 Os
0.3766 0.1157 0.8704 Os
0.3766 0.3843 0.8704 Os
0.6234 0.6157 0.1296 Os
0.6234 0.8843 0.1296 Os
0.8766 0.1157 0.6296 Os
0.8766 0.3843 0.6296 Os
```

Entry 2:
The following is a computed X-ray diffraction stick pattern of Sc5Ga2Os. It was derived from the PBE geometry in Alexandria, using Cu Kα (weighted mean of Kα1 and Kα2).

Most intense lines, 5° ≤ 2θ ≤ 70°, most intense first:
| d [Å] | two_theta | I_rel |
| --- | --- | --- |
| 3.966 | 22.42 | 100 |
| 2.552 | 35.17 | 81 |
| 2.180 | 41.41 | 73 |
| 2.424 | 37.08 | 68 |
| 1.837 | 49.63 | 36 |
| 2.794 | 32.03 | 35 |
| 2.438 | 36.87 | 30 |
| 4.875 | 18.20 | 29 |

Cell and atoms:
```
Sc5Ga2Os
1.0
-3.4474 3.4474 6.8205
3.4474 -3.4474 6.8205
3.4474 3.4474 -6.8205
Sc Ga Os
10 4 2
Direct
0.0000 0.0000 0.0000 Sc
0.0247 0.5247 0.8528 Sc
0.1719 0.0247 0.5000 Sc
0.3281 0.8281 0.8528 Sc
0.4753 0.3281 0.5000 Sc
0.5000 0.5000 0.0000 Sc
0.5247 0.6719 0.5000 Sc
0.6719 0.1719 0.1472 Sc
0.8281 0.9753 0.5000 Sc
0.9753 0.4753 0.1472 Sc
0.1249 0.3751 0.5000 Ga
0.3751 0.8751 0.2502 Ga
0.6249 0.1249 0.7498 Ga
0.8751 0.6249 0.5000 Ga
0.2500 0.2500 0.0000 Os
0.7500 0.7500 0.0000 Os
```